Computed powder diffractogram
Compound: LiGeBi2
Radiation: a wavelength of 1.5418 Å
Structure: a structure optimized by DFT (GGA-PBE)
Peak positions follow from Bragg's law for the DFT cell and can differ from measured ones.

Top 6 peaks for 10° ≤ 2θ ≤ 80°, by intensity:
(1 1 2), 2θ 24.22, d 3.675, rel. 100; (3 1 2), 2θ 45.33, d 2.000, rel. 39; (2 0 4), 2θ 41.20, d 2.191, rel. 35; (2 0 0), 2θ 26.43, d 3.373, rel. 25; (2 2 0), 2θ 37.72, d 2.385, rel. 22; (4 2 4), 2θ 70.46, d 1.336, rel. 15

Crystal structure
```
data_LiGeBi2
_cell_length_a 6.7456
_cell_length_b 6.7456
_cell_length_c 11.5263
_cell_angle_alpha 90.00
_cell_angle_beta 90.00
_cell_angle_gamma 90.00
_symmetry_space_group_name_H-M 'I -4 2 d'
_symmetry_Int_Tables_number 122
_symmetry_space_group_name_Hall 'I -4 2bw'
loop_
_atom_site_label
_atom_site_fract_x
_atom_site_fract_y
_atom_site_fract_z
Li1 0.0000 0.0000 0.0000
Ge1 0.0000 0.0000 0.5000
Bi1 0.2448 0.2500 0.6250
```